Computed powder diffraction line list
Compound: CrSbF2
Radiation: copper Kα
Structure: a structure optimized by DFT (GGA+U)
Lines closer than 0.1° are merged.

Structure:
```
data_CrSbF2
_chemical_formula_sum 'Cr3 Sb3 F6'
_cell_length_a 3.2706
_cell_length_b 3.2706
_cell_length_c 27.5905
_cell_angle_alpha 90.00
_cell_angle_beta 90.00
_cell_angle_gamma 120.00
_symmetry_space_group_name_H-M 'R -3 m'
_symmetry_Int_Tables_number 166
_symmetry_space_group_name_Hall '-R 3 2"'
loop_
_atom_site_label
_atom_site_type_symbol
_atom_site_fract_x
_atom_site_fract_y
_atom_site_fract_z
_atom_site_occupancy
Cr1 Cr 0.0000 0.0000 0.0000 1
Sb1 Sb 0.0000 0.0000 0.5000 1
F1 F 0.0000 0.0000 0.3678 1
```

Main lines, sorted by position (2θ from 15° to 90°):
2theta, I (rel.)
19.30, 100
31.76, 22
32.26, 69
34.22, 37
39.17, 24
41.24, 52
45.92, 22
56.25, 20
56.92, 17
60.05, 25